[1]
Structure and calculated X-ray diffraction stick pattern of BaPuSeS2 (a structure optimized by DFT (GGA-PBE); copper Kα).

Crystal structure
Cell: 5.2104 5.2104 5.5881 Å, 90.00 90.00 90.00°
Fractional positions:
Ba  0.0000  0.0000  0.0000
Pu  0.5000  0.5000  0.4036
Se  0.5000  0.5000  0.8978
S  0.0000  0.5000  0.3668
S  0.5000  0.0000  0.3668

Peak list (6 most intense, 10 to 90 degrees two-theta, in order of rising 2θ)
| 2θ/deg | intensity |
| --- | --- |
| 17.02 | 46 |
| 23.34 | 100 |
| 24.16 | 88 |
| 34.43 | 66 |
| 36.49 | 38 |
| 42.01 | 44 |



[2]
Structure and calculated X-ray diffraction stick pattern of ZrCdSb2Au (a structure optimized by DFT (GGA-PBE); copper Kα).

Crystal structure
Cell: 5.4804 5.4804 5.6794 Å, 90.00 90.00 90.00°
Fractional positions:
Zr  0.0000  0.0000  0.0000
Cd  0.0000  0.0000  0.5000
Sb  0.0000  0.5000  0.0000
Sb  0.5000  0.0000  0.0000
Au  0.5000  0.5000  0.5000

Peak list (6 most intense, 10 to 90 degrees two-theta, in order of rising 2θ)
| 2θ/deg | intensity |
| --- | --- |
| 27.87 | 100 |
| 31.50 | 36 |
| 32.68 | 66 |
| 46.03 | 50 |
| 55.43 | 29 |
| 57.59 | 25 |



[3]
Structure and calculated X-ray diffraction stick pattern of Tl4AuI6 (a structure optimized by DFT (GGA-PBE); copper Kα).

Crystal structure
Cell: 9.4780 9.4780 9.4622 Å, 90.00 90.00 90.00°
Fractional positions:
Tl  0.1522  0.3478  0.2500
Tl  0.1522  0.3478  0.7500
Tl  0.3478  0.8478  0.2500
Tl  0.3478  0.8478  0.7500
Tl  0.6522  0.1522  0.2500
Tl  0.6522  0.1522  0.7500
Tl  0.8478  0.6522  0.2500
Tl  0.8478  0.6522  0.7500
Au  0.0000  0.0000  0.0000
Au  0.5000  0.5000  0.5000
I  0.0000  0.0000  0.2836
I  0.0000  0.0000  0.7164
I  0.1362  0.6829  0.0000
I  0.1829  0.6362  0.5000
I  0.3171  0.1362  0.0000
I  0.3638  0.1829  0.5000
I  0.5000  0.5000  0.2164
I  0.5000  0.5000  0.7836
I  0.6362  0.8171  0.5000
I  0.6829  0.8638  0.0000
I  0.8171  0.3638  0.5000
I  0.8638  0.3171  0.0000

Peak list (6 most intense, 10 to 90 degrees two-theta, in order of rising 2θ)
| 2θ/deg | intensity |
| --- | --- |
| 28.27 | 100 |
| 29.81 | 67 |
| 38.03 | 19 |
| 43.79 | 17 |
| 49.05 | 31 |
| 55.72 | 18 |



[4]
Structure and calculated X-ray diffraction stick pattern of LiPd2Au (a structure optimized by DFT (GGA-PBE); copper Kα).

Crystal structure
Cell: 5.5762 5.5762 5.5762 Å, 119.00 91.29 119.52°
Fractional positions:
Li  0.5000  0.0000  0.0000
Li  0.5000  0.5000  0.5000
Pd  0.0000  0.0000  0.0000
Pd  0.0000  0.0000  0.5000
Pd  0.0000  0.5000  0.0000
Pd  0.5000  0.0000  0.5000
Au  0.0000  0.5000  0.5000
Au  0.5000  0.5000  0.0000

Peak list (6 most intense, 10 to 90 degrees two-theta, in order of rising 2θ)
| 2θ/deg | intensity |
| --- | --- |
| 19.48 | 37 |
| 22.81 | 42 |
| 39.34 | 100 |
| 39.55 | 99 |
| 45.50 | 66 |
| 67.17 | 41 |



[5]
Structure and calculated X-ray diffraction stick pattern of Pr3Cu4Ge2 (a structure optimized by DFT (GGA-PBE); copper Kα).

Crystal structure
Cell: 5.8498 5.8498 8.5362 Å, 105.93 105.93 43.06°
Fractional positions:
Pr  0.0000  0.0000  0.0000
Pr  0.3347  0.3347  0.3344
Pr  0.6653  0.6653  0.6656
Cu  0.0564  0.0564  0.3906
Cu  0.2808  0.2808  0.9450
Cu  0.7192  0.7192  0.0550
Cu  0.9436  0.9436  0.6094
Ge  0.3905  0.3905  0.7220
Ge  0.6095  0.6095  0.2780

Peak list (6 most intense, 10 to 90 degrees two-theta, in order of rising 2θ)
| 2θ/deg | intensity |
| --- | --- |
| 32.94 | 51 |
| 33.22 | 100 |
| 41.39 | 48 |
| 42.09 | 23 |
| 54.45 | 24 |
| 64.11 | 25 |



[6]
Structure and calculated X-ray diffraction stick pattern of Sc2AlSe4 (a structure optimized by DFT (GGA-PBE); copper Kα).

Crystal structure
Cell: 7.2210 7.2210 6.6494 Å, 117.31 117.31 30.46°
Fractional positions:
Sc  0.2404  0.2404  0.2217
Sc  0.7596  0.7596  0.7783
Al  0.5000  0.5000  0.5000
Se  0.1226  0.1226  0.4604
Se  0.3868  0.3868  0.0610
Se  0.6132  0.6132  0.9390
Se  0.8774  0.8774  0.5396

Peak list (6 most intense, 10 to 90 degrees two-theta, in order of rising 2θ)
| 2θ/deg | intensity |
| --- | --- |
| 30.60 | 51 |
| 30.80 | 100 |
| 40.00 | 22 |
| 40.19 | 43 |
| 47.51 | 33 |
| 52.72 | 19 |



[7]
Structure and calculated X-ray diffraction stick pattern of Er4Al12Pd (a structure optimized by DFT (GGA-PBE); copper Kα).

Crystal structure
Cell: 7.4640 7.4640 7.4640 Å, 109.47 109.47 109.47°
Fractional positions:
Er  0.0000  0.0000  0.5000
Er  0.0000  0.5000  0.0000
Er  0.5000  0.0000  0.0000
Er  0.5000  0.5000  0.5000
Al  0.0000  0.2927  0.2927
Al  0.0000  0.7073  0.7073
Al  0.2500  0.5000  0.7500
Al  0.2500  0.7500  0.5000
Al  0.2927  0.0000  0.2927
Al  0.2927  0.2927  0.0000
Al  0.5000  0.2500  0.7500
Al  0.5000  0.7500  0.2500
Al  0.7073  0.0000  0.7073
Al  0.7073  0.7073  0.0000
Al  0.7500  0.2500  0.5000
Al  0.7500  0.5000  0.2500
Pd  0.0000  0.0000  0.0000

Peak list (6 most intense, 10 to 90 degrees two-theta, in order of rising 2θ)
| 2θ/deg | intensity |
| --- | --- |
| 20.61 | 48 |
| 29.31 | 100 |
| 36.10 | 62 |
| 41.93 | 47 |
| 51.98 | 38 |
| 60.79 | 30 |



[8]
Structure and calculated X-ray diffraction stick pattern of Li2ZnGeO4 (a structure optimized by DFT (GGA-PBE); copper Kα).

Crystal structure
Cell: 5.4997 5.4997 5.4997 Å, 132.20 132.20 69.91°
Fractional positions:
Li  0.2500  0.7500  0.5000
Li  0.7500  0.2500  0.5000
Zn  0.0000  0.0000  0.0000
Ge  0.5000  0.5000  0.0000
O  0.1539  0.6118  0.0000
O  0.3882  0.3882  0.5421
O  0.6118  0.1539  0.0000
O  0.8461  0.8461  0.4579

Peak list (6 most intense, 10 to 90 degrees two-theta, in order of rising 2θ)
| 2θ/deg | intensity |
| --- | --- |
| 19.70 | 74 |
| 28.32 | 56 |
| 34.74 | 100 |
| 45.41 | 27 |
| 49.74 | 22 |
| 58.23 | 33 |